The following is a theoretical PXRD pattern of Nb2Zn2NiO8. It was derived from DFT lattice parameters and positions (GGA+U), using Cu Ka.
Peak positions follow from Bragg's law for the DFT cell and can differ from measured ones.

Top 6 peaks for 2θ = 10–90°, sorted by position:
d/Å	I_rel
3.229	73
2.762	100
2.743	78
2.632	58
2.587	85
1.761	40

Structural model:
abc: 10.0670 10.0670 5.2640
angles: 90.50 90.50 34.33
Element x y z (fractional)
Nb: 0.0501 0.7237 0.7376
Nb: 0.2763 0.9499 0.7624
Nb: 0.7237 0.0501 0.2376
Nb: 0.9499 0.2763 0.2624
Zn: 0.1247 0.4350 0.2367
Zn: 0.4350 0.1247 0.7367
Zn: 0.5650 0.8753 0.2633
Zn: 0.8753 0.5650 0.7633
Ni: 0.3573 0.6427 0.2500
Ni: 0.6427 0.3573 0.7500
O: 0.0494 0.8145 0.0785
O: 0.0769 0.2805 0.5581
O: 0.1623 0.4525 0.8671
O: 0.1855 0.9506 0.4215
O: 0.2805 0.0769 0.0581
O: 0.3213 0.5642 0.5855
O: 0.4358 0.6787 0.9145
O: 0.4525 0.1623 0.3671
O: 0.5475 0.8377 0.6329
O: 0.5642 0.3213 0.0855
O: 0.6787 0.4358 0.4145
O: 0.7195 0.9231 0.9419
O: 0.8145 0.0494 0.5785
O: 0.8377 0.5475 0.1329
O: 0.9231 0.7195 0.4419
O: 0.9506 0.1855 0.9215


The following is a theoretical PXRD pattern of Li5Mn8B8O24. It was derived from DFT lattice parameters and positions (GGA+U), using Cu Ka.
Peak positions follow from Bragg's law for the DFT cell and can differ from measured ones.

Top 6 peaks for 2θ = 10–90°, sorted by position:
d/Å	I_rel
4.563	100
4.125	72
3.507	31
3.369	36
2.639	56
2.597	82

Structural model:
abc: 5.2829 9.1228 10.3987
angles: 89.55 87.51 89.74
Element x y z (fractional)
Li: 0.0000 0.0000 0.0000
Li: 0.0010 0.9715 0.5077
Li: 0.2051 0.4714 0.7548
Li: 0.2160 0.4883 0.2462
Li: 0.5166 0.4773 0.5131
Mn: 0.0072 0.6407 0.5416
Mn: 0.0165 0.3237 0.0404
Mn: 0.1849 0.8166 0.7893
Mn: 0.2000 0.1374 0.2832
Mn: 0.5066 0.7955 0.0303
Mn: 0.5149 0.1575 0.5340
Mn: 0.6917 0.3089 0.7992
Mn: 0.6970 0.6537 0.2885
B: 0.0276 0.3091 0.5427
B: 0.0300 0.6563 0.0351
B: 0.1898 0.7967 0.2932
B: 0.2038 0.1553 0.7838
B: 0.5111 0.8197 0.5483
B: 0.5160 0.1332 0.0370
B: 0.6899 0.6418 0.7941
B: 0.6970 0.3179 0.3057
O: 0.0793 0.6644 0.3387
O: 0.0851 0.2845 0.8246
O: 0.0976 0.0225 0.8131
O: 0.1001 0.9277 0.3318
O: 0.1347 0.7899 0.9794
O: 0.1368 0.1752 0.5060
O: 0.1704 0.4324 0.5610
O: 0.1706 0.5341 0.0490
O: 0.2537 0.8155 0.6009
O: 0.2573 0.1409 0.0780
O: 0.4055 0.7777 0.2116
O: 0.4402 0.1664 0.7185
O: 0.5536 0.4440 0.3169
O: 0.5551 0.5196 0.7732
O: 0.5736 0.7699 0.8432
O: 0.5825 0.1839 0.3486
O: 0.6155 0.6874 0.5039
O: 0.6411 0.0018 0.0354
O: 0.6416 0.9465 0.5410
O: 0.6426 0.2607 0.9978
O: 0.7660 0.3174 0.5665
O: 0.7837 0.6662 0.0826
O: 0.9450 0.3181 0.2551
O: 0.9525 0.6453 0.7585